No. 1
Computed X-ray powder pattern of K2SrCl4 for CuKα, from a structure optimized by DFT (PBE).
Neutral-atom scattering factors, no anomalous dispersion.

a = 8.376 Å, b = 8.376 Å, c = 7.716 Å
α = 108.35°, β = 108.35°, γ = 110.82°
Positions (direct):
K (0.067, 0.447, 0.653)
K (0.102, 0.898, 0.500)
K (0.447, 0.067, 0.153)
K (0.898, 0.102, 0.000)
Sr (0.471, 0.656, 0.369)
Sr (0.656, 0.471, 0.869)
Cl (0.151, 0.687, 0.114)
Cl (0.305, 0.306, 0.936)
Cl (0.306, 0.305, 0.436)
Cl (0.402, 0.808, 0.718)
Cl (0.687, 0.151, 0.614)
Cl (0.714, 0.822, 0.191)
Cl (0.808, 0.402, 0.218)
Cl (0.822, 0.714, 0.691)

Most intense lines, 10° ≤ 2θ ≤ 90°, most intense first:
- 2θ = 29.4°, 3.042 Å, I 100
- 2θ = 29.5°, 3.024 Å, I 66
- 2θ = 22.8°, 3.904 Å, I 46
- 2θ = 12.9°, 6.865 Å, I 41
- 2θ = 30.3°, 2.949 Å, I 37
- 2θ = 34.5°, 2.601 Å, I 28
- 2θ = 30.7°, 2.911 Å, I 28
- 2θ = 30.5°, 2.928 Å, I 26
- 2θ = 35.6°, 2.520 Å, I 21
- 2θ = 36.1°, 2.485 Å, I 21

No. 2
Computed X-ray powder pattern of La6NdSn2 for CuKα, from a structure optimized by DFT (PBE).
Neutral-atom scattering factors, no anomalous dispersion.

a = 7.710 Å, b = 7.710 Å, c = 5.739 Å
α = 90.12°, β = 90.12°, γ = 59.74°
Positions (direct):
La (0.115, 0.692, 0.764)
La (0.307, 0.307, 0.238)
La (0.308, 0.885, 0.236)
La (0.692, 0.115, 0.764)
La (0.693, 0.693, 0.762)
La (0.885, 0.308, 0.236)
Nd (0.500, 0.500, 0.500)
Sn (0.166, 0.166, 0.733)
Sn (0.834, 0.834, 0.267)

Most intense lines, 10° ≤ 2θ ≤ 90°, most intense first:
- 2θ = 31.0°, 2.881 Å, I 100
- 2θ = 31.0°, 2.888 Å, I 50
- 2θ = 41.5°, 2.174 Å, I 30
- 2θ = 31.2°, 2.869 Å, I 28
- 2θ = 55.4°, 1.659 Å, I 21
- 2θ = 47.1°, 1.928 Å, I 20
- 2θ = 20.4°, 4.350 Å, I 19
- 2θ = 35.6°, 2.524 Å, I 17
- 2θ = 43.7°, 2.070 Å, I 15
- 2θ = 34.0°, 2.636 Å, I 14

No. 3
Computed X-ray powder pattern of Ag2AsBr4 for CuKα, from a structure optimized by DFT (PBE).
Neutral-atom scattering factors, no anomalous dispersion.

a = 6.472 Å, b = 6.472 Å, c = 6.472 Å
α = 114.45°, β = 114.45°, γ = 99.91°
Positions (direct):
Ag (0.250, 0.750, 0.500)
Ag (0.750, 0.250, 0.500)
As (0.000, 0.000, 0.000)
Br (0.165, 0.649, 0.000)
Br (0.351, 0.351, 0.516)
Br (0.649, 0.165, 0.000)
Br (0.835, 0.835, 0.484)

Most intense lines, 10° ≤ 2θ ≤ 90°, most intense first:
- 2θ = 28.0°, 3.188 Å, I 100
- 2θ = 36.3°, 2.477 Å, I 54
- 2θ = 46.4°, 1.956 Å, I 48
- 2θ = 51.0°, 1.790 Å, I 28
- 2θ = 33.4°, 2.681 Å, I 26
- 2θ = 52.2°, 1.752 Å, I 18
- 2θ = 17.9°, 4.954 Å, I 17
- 2θ = 76.0°, 1.252 Å, I 17
- 2θ = 72.4°, 1.305 Å, I 12
- 2θ = 60.3°, 1.535 Å, I 11

No. 4
Computed X-ray powder pattern of Sr2SbF8 for CuKα, from a structure optimized by DFT (PBE).
Neutral-atom scattering factors, no anomalous dispersion.

a = 8.067 Å, b = 8.067 Å, c = 8.067 Å
α = 142.38°, β = 48.61°, γ = 150.35°
Positions (direct):
Sr (0.172, 0.000, 0.172)
Sr (0.828, 0.000, 0.828)
Sb (0.431, 0.931, 0.500)
F (0.023, 0.291, 0.268)
F (0.023, 0.754, 0.732)
F (0.230, 0.503, 0.727)
F (0.393, 0.251, 0.639)
F (0.393, 0.754, 0.142)
F (0.611, 0.251, 0.858)
F (0.611, 0.754, 0.361)
F (0.776, 0.503, 0.273)

Most intense lines, 10° ≤ 2θ ≤ 90°, most intense first:
- 2θ = 25.0°, 3.567 Å, I 100
- 2θ = 45.2°, 2.008 Å, I 70
- 2θ = 27.6°, 3.234 Å, I 59
- 2θ = 28.3°, 3.157 Å, I 48
- 2θ = 46.5°, 1.953 Å, I 43
- 2θ = 51.2°, 1.785 Å, I 36
- 2θ = 43.9°, 2.064 Å, I 23
- 2θ = 36.7°, 2.451 Å, I 18
- 2θ = 70.3°, 1.339 Å, I 14
- 2θ = 34.5°, 2.601 Å, I 13

No. 5
Computed X-ray powder pattern of KMnP2Cl for CuKα, from a structure optimized by DFT (PBE).
Neutral-atom scattering factors, no anomalous dispersion.

a = 4.331 Å, b = 4.331 Å, c = 6.656 Å
α = 90.00°, β = 90.00°, γ = 90.00°
Positions (direct):
K (0.000, 0.000, 0.000)
Mn (0.500, 0.500, 0.500)
P (0.000, 0.500, 0.500)
P (0.500, 0.000, 0.500)
Cl (0.500, 0.500, 0.000)

Most intense lines, 10° ≤ 2θ ≤ 90°, most intense first:
- 2θ = 26.8°, 3.328 Å, I 100
- 2θ = 50.3°, 1.815 Å, I 59
- 2θ = 41.7°, 2.165 Å, I 54
- 2θ = 24.5°, 3.630 Å, I 47
- 2θ = 32.2°, 2.782 Å, I 42
- 2θ = 20.5°, 4.331 Å, I 28
- 2θ = 13.3°, 6.656 Å, I 25
- 2θ = 67.3°, 1.391 Å, I 23
- 2θ = 29.2°, 3.062 Å, I 21
- 2θ = 71.5°, 1.319 Å, I 19

No. 6
Computed X-ray powder pattern of Pm3Dy4Er4 for CuKα, from a structure optimized by DFT (PBE).
Neutral-atom scattering factors, no anomalous dispersion.

a = 3.484 Å, b = 5.634 Å, c = 18.175 Å
α = 81.11°, β = 84.51°, γ = 90.00°
Positions (direct):
Pm (0.000, 0.000, 0.000)
Pm (0.137, 0.637, 0.726)
Pm (0.863, 0.363, 0.274)
Dy (0.319, 0.818, 0.363)
Dy (0.455, 0.454, 0.092)
Dy (0.545, 0.546, 0.908)
Dy (0.681, 0.182, 0.637)
Er (0.266, 0.266, 0.468)
Er (0.409, 0.908, 0.182)
Er (0.591, 0.092, 0.818)
Er (0.734, 0.734, 0.532)

Most intense lines, 10° ≤ 2θ ≤ 90°, most intense first:
- 2θ = 31.8°, 2.814 Å, I 100
- 2θ = 56.6°, 1.626 Å, I 19
- 2θ = 62.7°, 1.481 Å, I 18
- 2θ = 31.1°, 2.878 Å, I 16
- 2θ = 45.0°, 2.013 Å, I 12
- 2θ = 80.9°, 1.188 Å, I 9
- 2θ = 57.1°, 1.613 Å, I 7
- 2θ = 66.4°, 1.408 Å, I 7
- 2θ = 46.1°, 1.967 Å, I 7
- 2θ = 89.5°, 1.095 Å, I 7

No. 7
Computed X-ray powder pattern of Ba3Au2N for CuKα, from a structure optimized by DFT (PBE).
Neutral-atom scattering factors, no anomalous dispersion.

a = 7.462 Å, b = 7.462 Å, c = 8.135 Å
α = 98.55°, β = 98.55°, γ = 118.14°
Positions (direct):
Ba (0.050, 0.436, 0.784)
Ba (0.179, 0.179, 0.190)
Ba (0.436, 0.050, 0.784)
Ba (0.564, 0.950, 0.216)
Ba (0.821, 0.821, 0.810)
Ba (0.950, 0.564, 0.216)
Au (0.000, 0.000, 0.500)
Au (0.378, 0.622, 0.500)
Au (0.500, 0.500, 0.000)
Au (0.622, 0.378, 0.500)
N (0.172, 0.828, 0.000)
N (0.828, 0.172, 0.000)

Most intense lines, 10° ≤ 2θ ≤ 90°, most intense first:
- 2θ = 28.2°, 3.164 Å, I 100
- 2θ = 39.4°, 2.285 Å, I 22
- 2θ = 41.2°, 2.193 Å, I 20
- 2θ = 28.0°, 3.185 Å, I 14
- 2θ = 37.9°, 2.374 Å, I 13
- 2θ = 29.8°, 3.003 Å, I 13
- 2θ = 38.3°, 2.353 Å, I 13
- 2θ = 26.8°, 3.326 Å, I 12
- 2θ = 13.9°, 6.388 Å, I 9
- 2θ = 34.6°, 2.596 Å, I 9

No. 8
Computed X-ray powder pattern of Rb2Sn2H5 for CuKα, from a structure optimized by DFT (PBE).
Neutral-atom scattering factors, no anomalous dispersion.

a = 7.510 Å, b = 7.510 Å, c = 6.929 Å
α = 98.07°, β = 98.07°, γ = 25.75°
Positions (direct):
Rb (0.144, 0.144, 0.227)
Rb (0.856, 0.856, 0.773)
Sn (0.418, 0.418, 0.277)
Sn (0.582, 0.582, 0.723)
H (0.321, 0.321, 0.081)
H (0.328, 0.328, 0.447)
H (0.500, 0.500, 0.000)
H (0.672, 0.672, 0.553)
H (0.679, 0.679, 0.919)

Most intense lines, 10° ≤ 2θ ≤ 90°, most intense first:
- 2θ = 26.0°, 3.428 Å, I 100
- 2θ = 30.0°, 2.982 Å, I 85
- 2θ = 36.2°, 2.484 Å, I 62
- 2θ = 26.1°, 3.412 Å, I 54
- 2θ = 24.6°, 3.622 Å, I 54
- 2θ = 34.1°, 2.628 Å, I 54
- 2θ = 29.5°, 3.028 Å, I 39
- 2θ = 30.7°, 2.908 Å, I 36
- 2θ = 47.9°, 1.901 Å, I 35
- 2θ = 33.3°, 2.691 Å, I 32

No. 9
Computed X-ray powder pattern of Tb2ErScIn2 for CuKα, from a structure optimized by DFT (PBE).
Neutral-atom scattering factors, no anomalous dispersion.

a = 5.275 Å, b = 9.191 Å, c = 6.666 Å
α = 90.00°, β = 90.00°, γ = 90.00°
Positions (direct):
Tb (0.000, 0.004, 0.000)
Tb (0.000, 0.996, 0.500)
Tb (0.500, 0.165, 0.255)
Tb (0.500, 0.835, 0.755)
Er (0.500, 0.496, 0.998)
Er (0.500, 0.504, 0.498)
Sc (0.000, 0.331, 0.744)
Sc (0.000, 0.669, 0.244)
In (0.000, 0.346, 0.247)
In (0.000, 0.654, 0.747)
In (0.500, 0.177, 0.752)
In (0.500, 0.823, 0.252)

Most intense lines, 10° ≤ 2θ ≤ 90°, most intense first:
- 2θ = 33.2°, 2.695 Å, I 100
- 2θ = 33.8°, 2.649 Å, I 62
- 2θ = 34.0°, 2.638 Å, I 31
- 2θ = 66.3°, 1.410 Å, I 26
- 2θ = 60.2°, 1.538 Å, I 23
- 2θ = 48.3°, 1.886 Å, I 23
- 2θ = 60.4°, 1.533 Å, I 17
- 2θ = 48.1°, 1.892 Å, I 12
- 2θ = 60.7°, 1.525 Å, I 11
- 2θ = 86.5°, 1.125 Å, I 8

No. 10
Computed X-ray powder pattern of LaMnInPt3 for CuKα, from a structure optimized by DFT (PBE).
Neutral-atom scattering factors, no anomalous dispersion.

a = 9.041 Å, b = 9.041 Å, c = 5.724 Å
α = 90.00°, β = 90.00°, γ = 142.68°
Positions (direct):
La (0.224, 0.776, 0.750)
La (0.776, 0.224, 0.250)
Mn (0.094, 0.906, 0.250)
Mn (0.906, 0.094, 0.750)
In (0.399, 0.601, 0.250)
In (0.601, 0.399, 0.750)
Pt (0.242, 0.242, 0.000)
Pt (0.242, 0.242, 0.500)
Pt (0.243, 0.757, 0.250)
Pt (0.757, 0.243, 0.750)
Pt (0.758, 0.758, 0.000)
Pt (0.758, 0.758, 0.500)

Most intense lines, 10° ≤ 2θ ≤ 90°, most intense first:
- 2θ = 44.6°, 2.034 Å, I 100
- 2θ = 20.7°, 4.283 Å, I 76
- 2θ = 32.7°, 2.741 Å, I 70
- 2θ = 33.0°, 2.714 Å, I 69
- 2θ = 44.8°, 2.021 Å, I 44
- 2θ = 49.6°, 1.838 Å, I 31
- 2θ = 63.0°, 1.475 Å, I 25
- 2θ = 22.5°, 3.959 Å, I 21
- 2θ = 42.2°, 2.141 Å, I 17
- 2θ = 10.3°, 8.566 Å, I 17

No. 11
Computed X-ray powder pattern of Cs2Tl2Sn3 for CuKα, from a structure optimized by DFT (PBE).
Neutral-atom scattering factors, no anomalous dispersion.

a = 7.361 Å, b = 7.361 Å, c = 8.236 Å
α = 116.90°, β = 116.90°, γ = 42.43°
Positions (direct):
Cs (0.159, 0.159, 0.302)
Cs (0.841, 0.841, 0.698)
Tl (0.153, 0.153, 0.781)
Tl (0.847, 0.847, 0.219)
Sn (0.418, 0.418, 0.081)
Sn (0.500, 0.500, 0.500)
Sn (0.582, 0.582, 0.919)

Most intense lines, 10° ≤ 2θ ≤ 90°, most intense first:
- 2θ = 27.9°, 3.197 Å, I 100
- 2θ = 27.8°, 3.213 Å, I 70
- 2θ = 33.6°, 2.664 Å, I 45
- 2θ = 29.3°, 3.050 Å, I 42
- 2θ = 34.7°, 2.583 Å, I 36
- 2θ = 49.1°, 1.854 Å, I 28
- 2θ = 56.7°, 1.624 Å, I 21
- 2θ = 13.9°, 6.376 Å, I 21
- 2θ = 44.3°, 2.043 Å, I 19
- 2θ = 49.5°, 1.840 Å, I 17

No. 12
Computed X-ray powder pattern of Cs3AlAu4 for CuKα, from a structure optimized by DFT (PBE).
Neutral-atom scattering factors, no anomalous dispersion.

a = 7.138 Å, b = 7.138 Å, c = 7.138 Å
α = 122.01°, β = 106.56°, γ = 100.66°
Positions (direct):
Cs (0.000, 0.000, 0.000)
Cs (0.054, 0.329, 0.725)
Cs (0.604, 0.329, 0.275)
Al (0.393, 0.893, 0.500)
Au (0.454, 0.718, 0.736)
Au (0.570, 0.362, 0.792)
Au (0.570, 0.778, 0.208)
Au (0.982, 0.718, 0.264)

Most intense lines, 10° ≤ 2θ ≤ 90°, most intense first:
- 2θ = 28.7°, 3.115 Å, I 100
- 2θ = 33.3°, 2.688 Å, I 51
- 2θ = 29.5°, 3.025 Å, I 46
- 2θ = 14.2°, 6.230 Å, I 41
- 2θ = 32.5°, 2.755 Å, I 38
- 2θ = 42.3°, 2.135 Å, I 37
- 2θ = 38.6°, 2.330 Å, I 33
- 2θ = 32.2°, 2.781 Å, I 30
- 2θ = 16.1°, 5.511 Å, I 29
- 2θ = 45.8°, 1.981 Å, I 27

No. 13
Computed X-ray powder pattern of Sc3CoAu for CuKα, from a structure optimized by DFT (PBE).
Neutral-atom scattering factors, no anomalous dispersion.

a = 8.656 Å, b = 7.970 Å, c = 5.336 Å
α = 78.43°, β = 64.42°, γ = 37.15°
Positions (direct):
Sc (0.196, 0.196, 0.804)
Sc (0.202, 0.579, 0.421)
Sc (0.421, 0.798, 0.202)
Sc (0.579, 0.202, 0.798)
Sc (0.798, 0.421, 0.579)
Sc (0.804, 0.804, 0.196)
Co (0.250, 0.250, 0.250)
Co (0.750, 0.750, 0.750)
Au (0.226, 0.774, 0.774)
Au (0.774, 0.226, 0.226)

Most intense lines, 10° ≤ 2θ ≤ 90°, most intense first:
- 2θ = 38.8°, 2.321 Å, I 100
- 2θ = 23.3°, 3.825 Å, I 94
- 2θ = 11.9°, 7.415 Å, I 57
- 2θ = 39.3°, 2.294 Å, I 57
- 2θ = 41.8°, 2.163 Å, I 45
- 2θ = 31.4°, 2.853 Å, I 42
- 2θ = 24.0°, 3.708 Å, I 33
- 2θ = 40.4°, 2.233 Å, I 24
- 2θ = 47.5°, 1.913 Å, I 22
- 2θ = 57.6°, 1.600 Å, I 21

No. 14
Computed X-ray powder pattern of Ba2ReRh for CuKα, from a structure optimized by DFT (PBE).
Neutral-atom scattering factors, no anomalous dispersion.

a = 4.312 Å, b = 6.368 Å, c = 6.368 Å
α = 47.13°, β = 90.00°, γ = 90.00°
Positions (direct):
Ba (0.000, 0.000, 0.000)
Ba (0.500, 0.287, 0.287)
Re (0.000, 0.689, 0.689)
Rh (0.500, 0.599, 0.599)

Most intense lines, 10° ≤ 2θ ≤ 90°, most intense first:
- 2θ = 28.9°, 3.092 Å, I 100
- 2θ = 28.2°, 3.167 Å, I 99
- 2θ = 35.7°, 2.513 Å, I 66
- 2θ = 35.3°, 2.546 Å, I 48
- 2θ = 15.2°, 5.837 Å, I 43
- 2θ = 51.7°, 1.768 Å, I 39
- 2θ = 37.2°, 2.417 Å, I 39
- 2θ = 52.2°, 1.753 Å, I 30
- 2θ = 41.9°, 2.156 Å, I 29
- 2θ = 64.0°, 1.455 Å, I 26